For LaAl5AgPt, a cell relaxed with PBE gives the calculated X-ray diffraction stick pattern in this record (Cu Kα, 1.54184 Å).
Lines closer than 0.1° are merged.

Most intense lines, 2θ from 5° to 70°, in order of rising 2θ:
2theta	d_spacing	I_rel
14.95	5.928	20
17.72	5.006	16
24.20	3.677	42
30.46	2.935	100
33.73	2.657	25
34.44	2.604	14
35.87	2.503	14
43.48	2.081	19
43.75	2.069	32
46.67	1.946	36
61.14	1.516	16
63.38	1.467	21

Lattice parameters (Å, degrees): 6.5514 6.5514 6.5514 142.95 111.70 80.33
Fractional positions:
La: 0.0000 0.0000 0.0000
Al: 0.1665 0.3609 0.8057
Al: 0.4686 0.6506 0.8180
Al: 0.5022 0.0022 0.5000
Al: 0.5552 0.3609 0.1943
Al: 0.8326 0.6506 0.1820
Ag: 0.2530 0.7530 0.5000
Pt: 0.7453 0.2453 0.5000